Structure and simulated XRD peak list of UZn2FeO6 (the PBE+U geometry in Alexandria; Cu Kα, 1.54184 Å).

Peak list (10 most intense, 2θ from 10° to 80°, low angle first)
| two_theta | intensity | h k l |
| --- | --- | --- |
| 19.75 | 48 | 0 1 0 |
| 20.08 | 100 | 1 0 -1 |
| 22.40 | 49 | 0 1 -1 |
| 30.49 | 56 | 0 1 1 |
| 30.65 | 55 | 1 -1 1 |
| 30.98 | 49 | 1 0 -2 |
| 33.09 | 50 | 1 1 -1 |
| 33.22 | 49 | 1 -2 0 |
| 33.66 | 46 | -2 1 1 |
| 45.72 | 41 | 2 0 0 |

Structure:
```
data_UZn2FeO6
_symmetry_space_group_name_H-M 'P -1'
_symmetry_Int_Tables_number 2
_symmetry_space_group_name_Hall '-P 1'
_cell_length_a 5.3254
_cell_length_b 5.3946
_cell_length_c 5.8192
_cell_angle_alpha 90.66
_cell_angle_beta 116.52
_cell_angle_gamma 119.32
loop_
_atom_site_label
_atom_site_fract_x
_atom_site_fract_y
_atom_site_fract_z
U1 0.0000 0.0000 0.0000
Zn1 0.4326 0.2175 0.6359
Fe1 0.0000 0.5000 0.5000
O1 0.1321 0.2247 0.7442
O2 0.1589 0.3885 0.2690
O3 0.4856 0.0977 0.2658
```